The following is a computed X-ray diffraction stick pattern of Hf3CoB7. It was derived from a structure optimized by DFT (GGA-PBE), using Cu Kα.
No peak broadening, texture or thermal motion is included.

Structure:
```
Hf3CoB7
1.0
1.624 -7.357 0.000
1.624 7.357 0.000
0.000 0.000 8.957
Hf Co B
6 2 14
direct
0.106 0.894 0.555 Hf
0.106 0.894 0.945 Hf
0.247 0.753 0.250 Hf
0.753 0.247 0.750 Hf
0.894 0.106 0.055 Hf
0.894 0.106 0.445 Hf
0.050 0.950 0.250 Co
0.950 0.050 0.750 Co
0.274 0.726 0.533 B
0.274 0.726 0.967 B
0.368 0.632 0.651 B
0.368 0.632 0.849 B
0.442 0.558 0.250 B
0.484 0.516 0.593 B
0.484 0.516 0.907 B
0.516 0.484 0.093 B
0.516 0.484 0.407 B
0.558 0.442 0.750 B
0.632 0.368 0.151 B
0.632 0.368 0.349 B
0.726 0.274 0.033 B
0.726 0.274 0.467 B
```

The 12 most intense peaks (2θ = 10–90°), in order of rising 2θ:
2theta, d (Å), Rel. int.
23.25, 3.826, 36.7
28.14, 3.172, 69.4
31.47, 2.843, 100.0
32.36, 2.767, 55.5
34.62, 2.591, 70.8
36.64, 2.452, 34.4
41.40, 2.181, 32.7
41.54, 2.174, 87.3
42.67, 2.119, 37.5
46.31, 1.961, 36.7
60.99, 1.519, 32.1
62.13, 1.494, 42.7

The following is a computed X-ray diffraction stick pattern of Hf2Co21B6. It was derived from a structure optimized by DFT (GGA-PBE), using Cu Kα.
No peak broadening, texture or thermal motion is included.

Structure:
```
Hf2Co21B6
1.0
0.000 5.276 5.276
5.276 0.000 5.276
5.276 5.276 0.000
Hf Co B
2 21 6
direct
0.250 0.250 0.250 Hf
0.750 0.750 0.750 Hf
0.000 0.000 0.000 Co
0.000 0.000 0.337 Co
0.000 0.000 0.663 Co
0.000 0.337 0.000 Co
0.000 0.337 0.663 Co
0.000 0.663 0.000 Co
0.000 0.663 0.337 Co
0.156 0.615 0.615 Co
0.337 0.000 0.000 Co
0.337 0.000 0.663 Co
0.337 0.663 0.000 Co
0.385 0.385 0.385 Co
0.385 0.385 0.844 Co
0.385 0.844 0.385 Co
0.615 0.156 0.615 Co
0.615 0.615 0.156 Co
0.615 0.615 0.615 Co
0.663 0.000 0.000 Co
0.663 0.000 0.337 Co
0.663 0.337 0.000 Co
0.844 0.385 0.385 Co
0.274 0.274 0.726 B
0.274 0.726 0.274 B
0.274 0.726 0.726 B
0.726 0.274 0.274 B
0.726 0.274 0.726 B
0.726 0.726 0.274 B
```

The 12 most intense peaks (2θ = 10–90°), in order of rising 2θ:
2theta, d (Å), Rel. int.
16.80, 5.276, 25.5
23.85, 3.731, 22.9
38.14, 2.360, 84.2
41.94, 2.154, 77.8
44.62, 2.031, 100.0
48.82, 1.865, 40.8
51.21, 1.784, 25.6
55.04, 1.669, 14.7
57.97, 1.591, 24.0
74.09, 1.280, 24.3
76.61, 1.244, 41.4
78.49, 1.219, 11.6